Diffraction record for BeCu5Ge2. The powder XRD pattern is theoretical, not measured: it uses a cell relaxed with GGA-PBE and Cu Kα (weighted mean of Kα1 and Kα2).
Neutral-atom scattering factors, no anomalous dispersion.

Structural model:
a b c (Å): 4.1428 4.1428 5.8120
angles (deg): 90.00 90.00 90.00
Fractional positions:
Be 0.0000 0.0000 0.0000
Cu 0.0000 0.5000 0.2387
Cu 0.0000 0.5000 0.7613
Cu 0.5000 0.0000 0.2387
Cu 0.5000 0.0000 0.7613
Cu 0.5000 0.5000 0.5000
Ge 0.0000 0.0000 0.5000
Ge 0.5000 0.5000 0.0000

Main lines, most intense first (10° ≤ 2θ ≤ 90°):
43.88°, I 100.0; 43.70°, I 51.2; 80.41°, I 30.4; 63.52°, I 15.7; 80.80°, I 14.5; 26.42°, I 8.9

Diffraction record for Sr4Pr3Pb3N2. The powder XRD pattern is theoretical, not measured: it uses a cell relaxed with GGA-PBE and Cu Kα (weighted mean of Kα1 and Kα2).
Neutral-atom scattering factors, no anomalous dispersion.

Structural model:
a b c (Å): 13.6696 13.6696 4.9961
angles (deg): 90.00 90.00 157.91
Fractional positions:
Sr 0.1000 0.9000 0.0000
Sr 0.2988 0.7012 0.0000
Sr 0.7012 0.2988 0.0000
Sr 0.9000 0.1000 0.0000
Pr 0.4012 0.5988 0.5000
Pr 0.5000 0.5000 0.0000
Pr 0.5988 0.4012 0.5000
Pb 0.0000 0.0000 0.5000
Pb 0.1882 0.8118 0.5000
Pb 0.8118 0.1882 0.5000
N 0.4080 0.5920 0.0000
N 0.5920 0.4080 0.0000

Main lines, most intense first (10° ≤ 2θ ≤ 90°):
29.80°, I 100.0; 34.24°, I 19.6; 33.39°, I 17.8; 35.95°, I 17.2; 58.59°, I 15.1; 60.87°, I 13.9

Diffraction record for Hf4Nb2Sb3N3. The powder XRD pattern is theoretical, not measured: it uses a cell relaxed with GGA-PBE and Cu Kα (weighted mean of Kα1 and Kα2).
Neutral-atom scattering factors, no anomalous dispersion.

Structural model:
a b c (Å): 5.9280 5.9280 13.5284
angles (deg): 102.61 102.61 59.84
Fractional positions:
Hf 0.0185 0.2045 0.0859
Hf 0.1473 0.3032 0.4138
Hf 0.2045 0.0185 0.5859
Hf 0.3032 0.1473 0.9138
Hf 0.6968 0.8527 0.0862
Hf 0.7955 0.9815 0.4141
Hf 0.8527 0.6968 0.5862
Hf 0.9815 0.7955 0.9141
Nb 0.3720 0.5286 0.0802
Nb 0.4714 0.6280 0.4198
Nb 0.5286 0.3720 0.5802
Nb 0.6280 0.4714 0.9198
Sb 0.0914 0.9086 0.2500
Sb 0.2611 0.4149 0.7488
Sb 0.4149 0.2611 0.2488
Sb 0.5851 0.7389 0.7512
Sb 0.7389 0.5851 0.2512
Sb 0.9086 0.0914 0.7500
N 0.0000 0.5000 0.0000
N 0.1436 0.6766 0.4998
N 0.3234 0.8564 0.0002
N 0.5000 0.0000 0.5000
N 0.6766 0.1436 0.9998
N 0.8564 0.3234 0.5002

Main lines, most intense first (10° ≤ 2θ ≤ 90°):
36.67°, I 100.0; 30.18°, I 24.4; 53.65°, I 15.5; 41.38°, I 15.0; 52.06°, I 13.4; 72.38°, I 13.4

Diffraction record for Y2Nb4Sn3C3. The powder XRD pattern is theoretical, not measured: it uses a cell relaxed with GGA-PBE and Cu Kα (weighted mean of Kα1 and Kα2).
Neutral-atom scattering factors, no anomalous dispersion.

Structural model:
a b c (Å): 5.8545 5.8545 14.8101
angles (deg): 101.98 101.98 59.87
Fractional positions:
Y 0.0363 0.8791 0.6020
Y 0.1209 0.9637 0.8980
Y 0.8791 0.0363 0.1020
Y 0.9637 0.1209 0.3980
Nb 0.1952 0.3486 0.0754
Nb 0.2964 0.4828 0.4246
Nb 0.3486 0.1952 0.5754
Nb 0.4828 0.2964 0.9246
Nb 0.5172 0.7036 0.0754
Nb 0.6514 0.8048 0.4246
Nb 0.7036 0.5172 0.5754
Nb 0.8048 0.6514 0.9246
Sn 0.0864 0.3145 0.7538
Sn 0.3145 0.0864 0.2538
Sn 0.4806 0.5194 0.7500
Sn 0.5194 0.4806 0.2500
Sn 0.6855 0.9136 0.7462
Sn 0.9136 0.6855 0.2462
C 0.0000 0.5000 0.5000
C 0.1752 0.6487 0.0003
C 0.3513 0.8248 0.4997
C 0.5000 0.0000 0.0000
C 0.6487 0.1752 0.5003
C 0.8248 0.3513 0.9997

Main lines, most intense first (10° ≤ 2θ ≤ 90°):
35.78°, I 100.0; 36.00°, I 92.7; 36.11°, I 88.6; 30.56°, I 61.3; 37.53°, I 54.7; 54.35°, I 31.8

Diffraction record for Pr3Se2S. The powder XRD pattern is theoretical, not measured: it uses a cell relaxed with GGA-PBE and Cu Kα (weighted mean of Kα1 and Kα2).
Neutral-atom scattering factors, no anomalous dispersion.

Structural model:
a b c (Å): 4.2061 4.2061 10.3437
angles (deg): 90.00 90.00 120.00
Fractional positions:
Pr 0.0000 0.0000 0.0000
Pr 0.3333 0.6667 0.3462
Pr 0.6667 0.3333 0.6538
Se 0.3333 0.6667 0.8283
Se 0.6667 0.3333 0.1717
S 0.0000 0.0000 0.5000

Main lines, most intense first (10° ≤ 2θ ≤ 90°):
30.01°, I 100.0; 43.01°, I 36.9; 42.89°, I 35.3; 25.91°, I 28.0; 53.33°, I 19.6; 78.77°, I 17.9

Diffraction record for Cu7Ag3. The powder XRD pattern is theoretical, not measured: it uses a cell relaxed with GGA-PBE and Cu Kα (weighted mean of Kα1 and Kα2).
Neutral-atom scattering factors, no anomalous dispersion.

Structural model:
a b c (Å): 7.1740 7.1740 5.4265
angles (deg): 100.99 100.99 29.92
Fractional positions:
Cu 0.0000 0.0000 0.0000
Cu 0.0011 0.0011 0.5016
Cu 0.2214 0.2214 0.6115
Cu 0.4081 0.4081 0.7046
Cu 0.4132 0.4132 0.2075
Cu 0.8182 0.8182 0.8981
Cu 0.8189 0.8189 0.4216
Ag 0.2222 0.2222 0.1114
Ag 0.6065 0.6065 0.8003
Ag 0.6082 0.6082 0.3087

Main lines, most intense first (10° ≤ 2θ ≤ 90°):
41.22°, I 100.0; 47.34°, I 31.8; 70.67°, I 17.6; 49.20°, I 15.0; 83.78°, I 10.0; 83.90°, I 9.9

Diffraction record for Pu2SbTe. The powder XRD pattern is theoretical, not measured: it uses a cell relaxed with GGA-PBE and Cu Kα (weighted mean of Kα1 and Kα2).
Neutral-atom scattering factors, no anomalous dispersion.

Structural model:
a b c (Å): 6.2768 6.2768 12.5922
angles (deg): 90.00 90.00 90.00
Fractional positions:
Pu 0.0000 0.2500 0.1236
Pu 0.0000 0.2500 0.6264
Pu 0.0000 0.7500 0.3736
Pu 0.0000 0.7500 0.8764
Pu 0.5000 0.2500 0.3764
Pu 0.5000 0.2500 0.8736
Pu 0.5000 0.7500 0.1264
Pu 0.5000 0.7500 0.6236
Sb 0.0000 0.2500 0.8750
Sb 0.0000 0.7500 0.1250
Sb 0.5000 0.2500 0.6250
Sb 0.5000 0.7500 0.3750
Te 0.0000 0.2500 0.3750
Te 0.0000 0.7500 0.6250
Te 0.5000 0.2500 0.1250
Te 0.5000 0.7500 0.8750

Main lines, most intense first (10° ≤ 2θ ≤ 90°):
28.41°, I 100.0; 40.61°, I 77.6; 50.30°, I 28.1; 66.61°, I 24.5; 73.94°, I 18.2; 24.54°, I 17.8

Diffraction record for LiNbInIr. The powder XRD pattern is theoretical, not measured: it uses a cell relaxed with GGA-PBE and Cu Kα (weighted mean of Kα1 and Kα2).
Neutral-atom scattering factors, no anomalous dispersion.

Structural model:
a b c (Å): 4.5001 4.5001 6.3539
angles (deg): 90.00 90.00 90.00
Fractional positions:
Li 0.0000 0.5000 0.2491
Li 0.5000 0.0000 0.7509
Nb 0.0000 0.0000 0.0000
Nb 0.5000 0.5000 0.5000
In 0.0000 0.0000 0.5000
In 0.5000 0.5000 0.0000
Ir 0.0000 0.5000 0.7502
Ir 0.5000 0.0000 0.2498

Main lines, most intense first (10° ≤ 2θ ≤ 90°):
40.10°, I 100.0; 24.24°, I 50.9; 72.85°, I 33.9; 47.40°, I 26.0; 57.96°, I 11.2; 86.57°, I 11.0